Theoretical powder X-ray diffraction pattern of Re3HgO9 for Cu Kα (weighted mean of Kα1 and Kα2), from a GGA-PBE-relaxed structure.
Neutral-atom scattering factors, no anomalous dispersion.

Largest 10 diffraction maxima, low angle first, 10 to 90 degrees two-theta:
| Position (°2θ) | I_rel | (hkl) |
| --- | --- | --- |
| 23.40 | 15 | 0 0 1 |
| 27.26 | 52 | 1 0 1 |
| 27.79 | 100 | 2 0 0 |
| 33.77 | 29 | 1 1 1 |
| 44.28 | 20 | 2 1 1 |
| 49.15 | 24 | 2 2 0 |
| 56.24 | 28 | 2 0 2 |
| 57.11 | 15 | 3 1 1 |
| 57.40 | 16 | 4 0 0 |
| 71.03 | 15 | 2 2 2 |

Structural model:
```
data_Re3HgO9
_chemical_formula_sum 'Re3 Hg1 O9'
_cell_length_a 7.4148
_cell_length_b 7.4148
_cell_length_c 3.8015
_cell_angle_alpha 90.00
_cell_angle_beta 90.00
_cell_angle_gamma 120.00
_symmetry_space_group_name_H-M 'P 6 m m'
_symmetry_Int_Tables_number 183
_symmetry_space_group_name_Hall 'P 6 -2'
loop_
_atom_site_label
_atom_site_type_symbol
_atom_site_fract_x
_atom_site_fract_y
_atom_site_fract_z
Re1 Re 0.0000 0.5000 0.0000
Hg1 Hg 0.0000 0.0000 0.4669
O1 O 0.0000 0.5000 0.5003
O2 O 0.2138 0.4277 0.0008
```

---

Theoretical powder X-ray diffraction pattern of Re2Hg5O10 for Cu Kα (weighted mean of Kα1 and Kα2), from a GGA-PBE-relaxed structure.
Neutral-atom scattering factors, no anomalous dispersion.

Largest 10 diffraction maxima, low angle first, 10 to 90 degrees two-theta:
| Position (°2θ) | I_rel | (hkl) |
| --- | --- | --- |
| 23.01 | 100 | 1 0 -2 |
| 23.90 | 34 | 1 2 1 |
| 24.87 | 25 | 0 3 1 |
| 27.57 | 34 | 2 0 0 |
| 28.55 | 39 | 2 1 0 |
| 29.33 | 36 | 1 3 1 |
| 32.02 | 30 | 0 4 1 |
| 35.35 | 25 | 1 3 2 |
| 39.09 | 23 | 0 3 3 |
| 48.56 | 26 | 1 3 -4 |

Structural model:
```
data_Re2Hg5O10
_chemical_formula_sum 'Re4 Hg10 O20'
_cell_length_a 6.575
_cell_length_b 11.837
_cell_length_c 8.635
_cell_angle_alpha 90.00
_cell_angle_beta 99.54
_cell_angle_gamma 90.00
_symmetry_space_group_name_H-M 'P 1 21/c 1'
_symmetry_Int_Tables_number 14
loop_
_symmetry_equiv_pos_as_xyz
'x,y,z'
'-x,-y,-z'
'-x,y+1/2,-z+1/2'
'x,-y+1/2,z+1/2'
loop_
_atom_site_label
_atom_site_type_symbol
_atom_site_fract_x
_atom_site_fract_y
_atom_site_fract_z
Re1 Re 0.117 0.157 0.018
Hg1 Hg 0.000 0.000 0.500
Hg2 Hg 0.372 0.717 0.184
Hg3 Hg 0.500 0.090 0.683
O1 O 0.066 0.077 0.846
O2 O 0.110 0.677 0.404
O3 O 0.208 0.210 0.472
O4 O 0.305 0.552 0.064
O5 O 0.310 0.091 0.155
```

---

Theoretical powder X-ray diffraction pattern of ReHgO5 for Cu Kα (weighted mean of Kα1 and Kα2), from a GGA-PBE-relaxed structure.
Neutral-atom scattering factors, no anomalous dispersion.

Largest 10 diffraction maxima, low angle first, 10 to 90 degrees two-theta:
| Position (°2θ) | I_rel | (hkl) |
| --- | --- | --- |
| 22.40 | 79 | 2 0 0 |
| 26.08 | 54 | 0 2 0 |
| 26.79 | 100 | 1 1 -2 |
| 34.64 | 38 | 2 2 0 |
| 34.93 | 35 | 1 1 2 |
| 35.45 | 34 | 3 1 -2 |
| 45.72 | 16 | 4 0 0 |
| 46.45 | 24 | 1 3 -2 |
| 53.40 | 31 | 4 2 0 |
| 53.68 | 17 | 0 4 0 |

Structural model:
```
data_ReHgO5
_chemical_formula_sum 'Re4 Hg4 O20'
_cell_length_a 8.748
_cell_length_b 6.833
_cell_length_c 7.621
_cell_angle_alpha 90.00
_cell_angle_beta 114.87
_cell_angle_gamma 90.00
_symmetry_space_group_name_H-M 'C 1 2/c 1'
_symmetry_Int_Tables_number 15
loop_
_symmetry_equiv_pos_as_xyz
'x,y,z'
'-x,-y,-z'
'-x,y,-z+1/2'
'x,-y,z+1/2'
'x+1/2,y+1/2,z'
'-x+1/2,-y+1/2,-z'
'-x+1/2,y+1/2,-z+1/2'
'x+1/2,-y+1/2,z+1/2'
loop_
_atom_site_label
_atom_site_type_symbol
_atom_site_fract_x
_atom_site_fract_y
_atom_site_fract_z
Re1 Re 0.000 0.000 0.000
Hg1 Hg 0.000 0.495 0.250
O1 O 0.000 0.010 0.750
O2 O 0.026 0.274 0.504
O3 O 0.231 0.036 0.113
```

---

Theoretical powder X-ray diffraction pattern of Re2HgO for Cu Kα (weighted mean of Kα1 and Kα2), from a GGA-PBE-relaxed structure.
Neutral-atom scattering factors, no anomalous dispersion.

Largest 10 diffraction maxima, low angle first, 10 to 90 degrees two-theta:
| Position (°2θ) | I_rel | (hkl) |
| --- | --- | --- |
| 27.53 | 100 | 1 0 3 |
| 29.64 | 40 | 1 1 2 |
| 38.98 | 41 | 1 0 5 |
| 40.04 | 52 | 2 0 2 |
| 42.74 | 63 | 2 1 1 |
| 55.77 | 12 | 0 0 8 |
| 56.84 | 19 | 2 0 6 |
| 61.54 | 37 | 2 2 4 |
| 66.03 | 18 | 2 1 7 |
| 71.31 | 14 | 3 2 1 |

Structural model:
```
data_Re2HgO
_chemical_formula_sum 'Re8 Hg4 O4'
_cell_length_a 4.792
_cell_length_b 4.792
_cell_length_c 13.187
_cell_angle_alpha 90.00
_cell_angle_beta 90.00
_cell_angle_gamma 90.00
_symmetry_space_group_name_H-M 'I 41/a m d'
_symmetry_Int_Tables_number 141
loop_
_symmetry_equiv_pos_as_xyz
'x,y,z'
'-x,-y,-z'
'-y+1/4,x+3/4,z+1/4'
'y+1/4,-x+3/4,-z+1/4'
'-x+1/2,-y,z+1/2'
'x+1/2,y,-z+1/2'
'y+1/4,-x+1/4,z+3/4'
'-y+1/4,x+1/4,-z+3/4'
'x,-y,-z'
'-x,y,z'
'-y+1/4,-x+1/4,-z+3/4'
'y+1/4,x+1/4,z+3/4'
'-x+1/2,y,-z+1/2'
'x+1/2,-y,z+1/2'
'y+1/4,x+3/4,-z+1/4'
'-y+1/4,-x+3/4,z+1/4'
'x+1/2,y+1/2,z+1/2'
'-x+1/2,-y+1/2,-z+1/2'
'-y+3/4,x+1/4,z+3/4'
'y+3/4,-x+1/4,-z+3/4'
'-x,-y+1/2,z'
'x,y+1/2,-z'
'y+3/4,-x+3/4,z+1/4'
'-y+3/4,x+3/4,-z+1/4'
'x+1/2,-y+1/2,-z+1/2'
'-x+1/2,y+1/2,z+1/2'
'-y+3/4,-x+3/4,-z+1/4'
'y+3/4,x+3/4,z+1/4'
'-x,y+1/2,-z'
'x,-y+1/2,z'
'y+3/4,x+1/4,-z+3/4'
'-y+3/4,-x+1/4,z+3/4'
loop_
_atom_site_label
_atom_site_type_symbol
_atom_site_fract_x
_atom_site_fract_y
_atom_site_fract_z
Re1 Re 0.000 0.000 0.000
Hg1 Hg 0.000 0.250 0.375
O1 O 0.000 0.250 0.875
```

---

Theoretical powder X-ray diffraction pattern of ReHgO3 for Cu Kα (weighted mean of Kα1 and Kα2), from a GGA-PBE-relaxed structure.
Neutral-atom scattering factors, no anomalous dispersion.

Largest 10 diffraction maxima, low angle first, 10 to 90 degrees two-theta:
| Position (°2θ) | I_rel | (hkl) |
| --- | --- | --- |
| 16.01 | 51 | 1 0 0 |
| 19.31 | 39 | 1 1 0 |
| 21.07 | 58 | 0 1 2 |
| 23.39 | 100 | 0 2 1 |
| 29.36 | 39 | 0 1 3 |
| 34.18 | 31 | 2 1 0 |
| 34.63 | 23 | 2 0 -2 |
| 36.77 | 27 | 2 1 1 |
| 38.29 | 27 | 0 1 4 |
| 45.17 | 29 | 2 2 -3 |

Structural model:
```
data_ReHgO3
_chemical_formula_sum 'Re4 Hg4 O12'
_cell_length_a 5.604
_cell_length_b 8.251
_cell_length_c 9.933
_cell_angle_alpha 90.00
_cell_angle_beta 99.02
_cell_angle_gamma 90.00
_symmetry_space_group_name_H-M 'P 1 2/c 1'
_symmetry_Int_Tables_number 13
loop_
_symmetry_equiv_pos_as_xyz
'x,y,z'
'-x,-y,-z'
'-x,y,-z+1/2'
'x,-y,z+1/2'
loop_
_atom_site_label
_atom_site_type_symbol
_atom_site_fract_x
_atom_site_fract_y
_atom_site_fract_z
Re1 Re 0.038 0.100 0.099
Hg1 Hg 0.251 0.398 0.749
O1 O 0.158 0.281 0.054
O2 O 0.211 0.097 0.293
O3 O 0.224 0.084 0.563
```

---

Theoretical powder X-ray diffraction pattern of ReHgO4 for Cu Kα (weighted mean of Kα1 and Kα2), from a GGA-PBE-relaxed structure.
Neutral-atom scattering factors, no anomalous dispersion.

Largest 10 diffraction maxima, low angle first, 10 to 90 degrees two-theta:
| Position (°2θ) | I_rel | (hkl) |
| --- | --- | --- |
| 22.45 | 44 | 0 1 1 |
| 24.11 | 49 | 2 0 0 |
| 25.53 | 100 | 1 1 1 |
| 31.62 | 22 | 0 0 2 |
| 33.18 | 24 | 2 1 1 |
| 34.58 | 33 | 1 2 0 |
| 40.15 | 24 | 2 0 2 |
| 43.29 | 25 | 3 1 1 |
| 47.55 | 24 | 1 2 2 |
| 52.73 | 13 | 1 1 3 |

Structural model:
```
data_ReHgO4
_chemical_formula_sum 'Re2 Hg2 O8'
_cell_length_a 7.382
_cell_length_b 5.542
_cell_length_c 5.660
_cell_angle_alpha 90.00
_cell_angle_beta 90.00
_cell_angle_gamma 90.00
_symmetry_space_group_name_H-M 'P m n 21'
_symmetry_Int_Tables_number 31
loop_
_symmetry_equiv_pos_as_xyz
'x,y,z'
'-x+1/2,-y,z+1/2'
'-x,y,z'
'x+1/2,-y,z+1/2'
loop_
_atom_site_label
_atom_site_type_symbol
_atom_site_fract_x
_atom_site_fract_y
_atom_site_fract_z
Re1 Re 0.000 0.132 0.000
Hg1 Hg 0.000 0.584 0.468
O1 O 0.000 0.179 0.693
O2 O 0.000 0.822 0.061
O3 O 0.195 0.268 0.125
```

---

Theoretical powder X-ray diffraction pattern of SrReHgO6 for Cu Kα (weighted mean of Kα1 and Kα2), from a GGA-PBE-relaxed structure.
Neutral-atom scattering factors, no anomalous dispersion.

Largest 10 diffraction maxima, low angle first, 10 to 90 degrees two-theta:
| Position (°2θ) | I_rel | (hkl) |
| --- | --- | --- |
| 17.60 | 100 | 1 0 0 |
| 24.08 | 75 | 1 -1 0 |
| 25.39 | 72 | 1 0 1 |
| 25.90 | 64 | 1 1 -1 |
| 30.43 | 60 | 0 1 1 |
| 31.12 | 57 | 0 1 -2 |
| 31.69 | 47 | 0 2 -1 |
| 34.23 | 27 | -1 1 1 |
| 35.98 | 29 | 1 -1 2 |
| 48.02 | 29 | 2 -1 2 |

Structural model:
```
data_SrReHgO6
_chemical_formula_sum 'Sr1 Re1 Hg1 O6'
_cell_length_a 5.054
_cell_length_b 5.662
_cell_length_c 5.754
_cell_angle_alpha 117.87
_cell_angle_beta 90.20
_cell_angle_gamma 93.96
_symmetry_space_group_name_H-M 'P 1'
_symmetry_Int_Tables_number 1
loop_
_symmetry_equiv_pos_as_xyz
'x,y,z'
loop_
_atom_site_label
_atom_site_type_symbol
_atom_site_fract_x
_atom_site_fract_y
_atom_site_fract_z
Sr1 Sr 0.000 0.000 0.000
Re1 Re 0.543 0.669 0.333
Hg1 Hg 0.436 0.320 0.648
O1 O 0.256 0.429 0.361
O2 O 0.313 0.718 0.123
O3 O 0.328 0.977 0.665
O4 O 0.671 0.651 0.650
O5 O 0.721 0.406 0.098
O6 O 0.783 0.947 0.405
```

---

Theoretical powder X-ray diffraction pattern of Tl2ReHgO4 for Cu Kα (weighted mean of Kα1 and Kα2), from a GGA-PBE-relaxed structure.
Neutral-atom scattering factors, no anomalous dispersion.

Largest 10 diffraction maxima, low angle first, 10 to 90 degrees two-theta:
| Position (°2θ) | I_rel | (hkl) |
| --- | --- | --- |
| 22.86 | 100 | 2 0 0 |
| 29.94 | 100 | 1 1 2 |
| 32.55 | 40 | 2 2 0 |
| 44.81 | 71 | 1 3 2 |
| 52.61 | 22 | 4 2 0 |
| 56.47 | 18 | 3 3 2 |
| 56.99 | 17 | 2 0 4 |
| 66.72 | 22 | 1 5 2 |
| 76.23 | 15 | 3 5 2 |
| 76.67 | 15 | 2 4 4 |

Structural model:
```
data_Tl2ReHgO4
_chemical_formula_sum 'Tl4 Re2 Hg2 O8'
_cell_length_a 7.780
_cell_length_b 7.780
_cell_length_c 7.106
_cell_angle_alpha 90.00
_cell_angle_beta 90.00
_cell_angle_gamma 90.00
_symmetry_space_group_name_H-M 'I -4'
_symmetry_Int_Tables_number 82
loop_
_symmetry_equiv_pos_as_xyz
'x,y,z'
'y,-x,-z'
'-x,-y,z'
'-y,x,-z'
'x+1/2,y+1/2,z+1/2'
'y+1/2,-x+1/2,-z+1/2'
'-x+1/2,-y+1/2,z+1/2'
'-y+1/2,x+1/2,-z+1/2'
loop_
_atom_site_label
_atom_site_type_symbol
_atom_site_fract_x
_atom_site_fract_y
_atom_site_fract_z
Tl1 Tl 0.000 0.000 0.000
Tl2 Tl 0.000 0.500 0.250
Re1 Re 0.000 0.500 0.750
Hg1 Hg 0.000 0.000 0.500
O1 O 0.087 0.339 0.901
```

---

Theoretical powder X-ray diffraction pattern of Sr2HgRhO4 for Cu Kα (weighted mean of Kα1 and Kα2), from a GGA-PBE-relaxed structure.
Neutral-atom scattering factors, no anomalous dispersion.

Largest 10 diffraction maxima, low angle first, 10 to 90 degrees two-theta:
| Position (°2θ) | I_rel | (hkl) |
| --- | --- | --- |
| 18.74 | 21 | 0 0 2 |
| 25.89 | 61 | 2 0 -2 |
| 28.74 | 56 | 2 0 2 |
| 29.91 | 100 | 1 1 1 |
| 33.32 | 23 | 1 1 -2 |
| 38.01 | 20 | 0 0 4 |
| 39.45 | 32 | 1 1 -3 |
| 40.09 | 25 | 4 0 0 |
| 40.47 | 60 | 3 1 -1 |
| 51.66 | 23 | 3 1 3 |

Structural model:
```
data_Sr2HgRhO4
_chemical_formula_sum 'Sr4 Hg2 Rh2 O8'
_cell_length_a 9.043
_cell_length_b 3.407
_cell_length_c 9.519
_cell_angle_alpha 90.00
_cell_angle_beta 95.88
_cell_angle_gamma 90.00
_symmetry_space_group_name_H-M 'C 1 2/m 1'
_symmetry_Int_Tables_number 12
loop_
_symmetry_equiv_pos_as_xyz
'x,y,z'
'-x,-y,-z'
'-x,y,-z'
'x,-y,z'
'x+1/2,y+1/2,z'
'-x+1/2,-y+1/2,-z'
'-x+1/2,y+1/2,-z'
'x+1/2,-y+1/2,z'
loop_
_atom_site_label
_atom_site_type_symbol
_atom_site_fract_x
_atom_site_fract_y
_atom_site_fract_z
Sr1 Sr 0.238 0.000 0.302
Hg1 Hg 0.000 0.500 0.000
Rh1 Rh 0.000 0.000 0.500
O1 O 0.069 0.000 0.709
O2 O 0.127 0.500 0.463
```

---

Theoretical powder X-ray diffraction pattern of Sm2HgRuO8 for Cu Kα (weighted mean of Kα1 and Kα2), from a GGA-PBE-relaxed structure.
Neutral-atom scattering factors, no anomalous dispersion.

Largest 10 diffraction maxima, low angle first, 10 to 90 degrees two-theta:
| Position (°2θ) | I_rel | (hkl) |
| --- | --- | --- |
| 22.80 | 20 | 1 0 1 |
| 25.55 | 92 | 1 -1 0 |
| 27.56 | 52 | 1 1 0 |
| 29.37 | 100 | 0 1 -2 |
| 31.30 | 86 | 0 1 2 |
| 37.88 | 17 | 0 2 0 |
| 47.48 | 30 | 1 -2 2 |
| 48.50 | 27 | 0 0 4 |
| 48.79 | 32 | -1 2 2 |
| 55.58 | 23 | 1 -1 4 |

Structural model:
```
data_Sm2HgRuO8
_chemical_formula_sum 'Sm2 Hg1 Ru1 O8'
_cell_length_a 4.759
_cell_length_b 4.772
_cell_length_c 7.541
_cell_angle_alpha 93.40
_cell_angle_beta 93.40
_cell_angle_gamma 94.03
_symmetry_space_group_name_H-M 'P -1'
_symmetry_Int_Tables_number 2
loop_
_symmetry_equiv_pos_as_xyz
'x,y,z'
'-x,-y,-z'
loop_
_atom_site_label
_atom_site_type_symbol
_atom_site_fract_x
_atom_site_fract_y
_atom_site_fract_z
Sm1 Sm 0.058 0.057 0.251
Hg1 Hg 0.500 0.500 0.000
Ru1 Ru 0.500 0.500 0.500
O1 O 0.191 0.191 0.980
O2 O 0.223 0.225 0.549
O3 O 0.248 0.621 0.318
O4 O 0.379 0.753 0.681
```